NaNi4H7: theoretical powder diffractogram (CuKα), based on a GGA-PBE-relaxed structure.

Structural model:
```
data_NaNi4H7
_chemical_formula_sum 'Na2 Ni8 H14'
_space_group_name_H-M_alt 'I 4/m m m'
_space_group_IT_number 139
_space_group_name_Hall '-I 4 2'
_cell_length_a 3.5831
_cell_length_b 3.5831
_cell_length_c 13.8040
_cell_angle_alpha 90.00
_cell_angle_beta 90.00
_cell_angle_gamma 90.00
loop_
_atom_site_label
_atom_site_type_symbol
_atom_site_fract_x
_atom_site_fract_y
_atom_site_fract_z
Na1 Na 0.0000 0.0000 0.0000
Ni1 Ni 0.0000 0.0000 0.3830
Ni2 Ni 0.0000 0.5000 0.2500
H1 H 0.0000 0.0000 0.2591
H2 H 0.0000 0.0000 0.5000
H3 H 0.0000 0.5000 0.1267
```

Largest 10 diffraction maxima, by angle, 10° ≤ 2θ ≤ 90°:
| index | 2theta | d [Å] | I_rel |
| --- | --- | --- | --- |
| 0 0 2 | 12.83 | 6.902 | 100 |
| 1 0 1 | 25.69 | 3.468 | 48 |
| 1 0 3 | 31.65 | 2.827 | 51 |
| 1 1 2 | 37.83 | 2.378 | 86 |
| 1 0 5 | 41.28 | 2.187 | 43 |
| 1 1 4 | 44.35 | 2.042 | 98 |
| 2 0 0 | 50.97 | 1.792 | 53 |
| 0 0 8 | 53.07 | 1.726 | 23 |
| 2 1 5 | 67.60 | 1.386 | 18 |
| 2 0 8 | 76.67 | 1.243 | 26 |